The following is a computed XRD peak list of Nd2HfCd. It was derived from a cell relaxed with GGA-PBE, using Cu Kα.
Lines closer than 0.1° are merged.

The 6 most intense peaks (10 to 90 degrees two-theta), sorted by position:
index  Position (°2θ)  d [Å]  intensity
1 0 2  32.1  2.788  100
1 1 0  36.7  2.450  35
0 0 4  38.3  2.348  15
1 1 4  54.1  1.695  23
2 1 2  63.2  1.472  28
1 0 6  65.4  1.426  13

Structure:
```
data_Nd2HfCd
_cell_length_a 3.4653
_cell_length_b 3.4653
_cell_length_c 9.3905
_cell_angle_alpha 90.00
_cell_angle_beta 90.00
_cell_angle_gamma 90.00
_symmetry_space_group_name_H-M 'P 4/m m m'
_symmetry_Int_Tables_number 123
_symmetry_space_group_name_Hall '-P 4 2'
loop_
_atom_site_label
_atom_site_type_symbol
_atom_site_fract_x
_atom_site_fract_y
_atom_site_fract_z
_atom_site_occupancy
Nd1 Nd 0.0000 0.0000 0.2492 1
Hf1 Hf 0.5000 0.5000 0.5000 1
Cd1 Cd 0.5000 0.5000 0.0000 1
```

***

The following is a computed XRD peak list of ZrP2Ir. It was derived from a cell relaxed with GGA-PBE, using Cu Kα.
Lines closer than 0.1° are merged.

The 6 most intense peaks (10 to 90 degrees two-theta), sorted by position:
index  Position (°2θ)  d [Å]  intensity
0 1 0  24.0  3.706  54
1 0 1  31.8  2.813  83
1 1 1  40.2  2.241  100
0 1 2  41.9  2.154  60
1 2 1  59.8  1.547  28
2 1 2  71.8  1.315  24

Structure:
```
data_ZrP2Ir
_cell_length_a 3.3208
_cell_length_b 3.7060
_cell_length_c 5.2940
_cell_angle_alpha 90.00
_cell_angle_beta 90.00
_cell_angle_gamma 90.00
_symmetry_space_group_name_H-M 'P m m m'
_symmetry_Int_Tables_number 47
loop_
_symmetry_equiv_pos_as_xyz
'x,y,z'
'-x,-y,-z'
'-x,-y,z'
'x,y,-z'
'x,-y,-z'
'-x,y,z'
'-x,y,-z'
'x,-y,z'
loop_
_atom_site_label
_atom_site_type_symbol
_atom_site_fract_x
_atom_site_fract_y
_atom_site_fract_z
_atom_site_occupancy
Zr1 Zr 0.0000 0.0000 0.0000 1
P1 P 0.5000 0.5000 0.2258 1
Ir1 Ir 0.5000 0.0000 0.5000 1
```